Entry 1:
Diffraction record for LiNb3Ru. The X-ray diffraction stick pattern is computed, not measured: it uses DFT lattice parameters and positions (PBE) and Cu Kα.

Main lines, in order of rising 2θ (10° ≤ 2θ ≤ 80°):
- 2θ 18.30, rel. 100, hkl 1 0 0
- 2θ 31.97, rel. 31, hkl 1 1 1
- 2θ 37.09, rel. 68, hkl 2 0 0
- 2θ 41.66, rel. 47, hkl 2 1 0
- 2θ 53.46, rel. 46, hkl 2 2 0
- 2θ 56.98, rel. 23, hkl 3 0 0
- 2θ 63.66, rel. 12, hkl 3 1 1
- 2θ 66.85, rel. 15, hkl 2 2 2
- 2θ 69.96, rel. 10, hkl 3 2 0
- 2θ 78.99, rel. 7, hkl 4 0 0

Structural model:
```
data_LiNb3Ru
_cell_length_a 4.8482
_cell_length_b 4.8482
_cell_length_c 4.8482
_cell_angle_alpha 90.00
_cell_angle_beta 90.00
_cell_angle_gamma 90.00
_space_group_name_H-M_alt 'P m -3 m'
_space_group_IT_number 221
_space_group_name_Hall '-P 4 2 3'
loop_
_atom_site_label
_atom_site_type_symbol
_atom_site_fract_x
_atom_site_fract_y
_atom_site_fract_z
Li1 Li 0.0000 0.0000 0.0000
Nb1 Nb 0.0000 0.5000 0.5000
Ru1 Ru 0.5000 0.5000 0.5000
```



Entry 2:
Diffraction record for Dy4HoS5. The X-ray diffraction stick pattern is computed, not measured: it uses DFT lattice parameters and positions (PBE) and Cu Kα.

Main lines, in order of rising 2θ (10° ≤ 2θ ≤ 80°):
- 2θ 28.02, rel. 82, hkl 1 1 0
- 2θ 32.46, rel. 100, hkl 1 0 5
- 2θ 46.57, rel. 72, hkl 2 0 0
- 2θ 55.20, rel. 27, hkl 2 1 5
- 2θ 55.30, rel. 13, hkl 1 3 0
- 2θ 57.92, rel. 25, hkl 2 2 0
- 2θ 67.92, rel. 8, hkl 2 0 10
- 2θ 75.10, rel. 11, hkl 2 3 5
- 2θ 77.32, rel. 21, hkl 3 0 5
- 2θ 77.47, rel. 11, hkl 1 4 5

Structural model:
```
data_Dy4HoS5
_cell_length_a 3.9046
_cell_length_b 5.5073
_cell_length_c 19.5091
_cell_angle_alpha 90.00
_cell_angle_beta 90.00
_cell_angle_gamma 90.00
_space_group_name_H-M_alt 'I m m m'
_space_group_IT_number 71
_space_group_name_Hall '-I 2 2'
loop_
_atom_site_label
_atom_site_type_symbol
_atom_site_fract_x
_atom_site_fract_y
_atom_site_fract_z
Dy1 Dy 0.0000 0.0000 0.1001
Dy2 Dy 0.0000 0.0000 0.3003
Ho1 Ho 0.0000 0.0000 0.5000
S1 S 0.0000 0.5000 0.0993
S2 S 0.0000 0.5000 0.2999
S3 S 0.0000 0.5000 0.5000
```



Entry 3:
Diffraction record for MgReAu2Cl. The X-ray diffraction stick pattern is computed, not measured: it uses DFT lattice parameters and positions (PBE) and Cu Kα.

Main lines, in order of rising 2θ (10° ≤ 2θ ≤ 80°):
- 2θ 16.87, rel. 12, hkl 0 0 1
- 2θ 18.08, rel. 15, hkl 1 0 0
- 2θ 30.88, rel. 100, hkl 1 1 1
- 2θ 34.12, rel. 23, hkl 0 0 2
- 2θ 36.63, rel. 38, hkl 2 0 0
- 2θ 50.92, rel. 29, hkl 2 0 2
- 2θ 52.78, rel. 13, hkl 2 2 0
- 2θ 59.07, rel. 17, hkl 1 1 3
- 2θ 62.41, rel. 27, hkl 3 1 1
- 2θ 64.35, rel. 15, hkl 2 2 2

Structural model:
```
data_MgReAu2Cl
_cell_length_a 4.9061
_cell_length_b 4.9061
_cell_length_c 5.2560
_cell_angle_alpha 90.00
_cell_angle_beta 90.00
_cell_angle_gamma 90.00
_space_group_name_H-M_alt 'P 4/m m m'
_space_group_IT_number 123
_space_group_name_Hall '-P 4 2'
loop_
_atom_site_label
_atom_site_type_symbol
_atom_site_fract_x
_atom_site_fract_y
_atom_site_fract_z
Mg1 Mg 0.0000 0.0000 0.0000
Re1 Re 0.0000 0.0000 0.5000
Au1 Au 0.0000 0.5000 0.0000
Cl1 Cl 0.5000 0.5000 0.5000
```



Entry 4:
Diffraction record for BeSn2W. The X-ray diffraction stick pattern is computed, not measured: it uses DFT lattice parameters and positions (PBE) and Cu Kα.

Main lines, in order of rising 2θ (10° ≤ 2θ ≤ 80°):
- 2θ 20.01, rel. 42, hkl 1 0 1
- 2θ 31.44, rel. 77, hkl 2 1 1
- 2θ 34.19, rel. 100, hkl 2 2 0
- 2θ 36.70, rel. 92, hkl 1 1 2
- 2θ 39.93, rel. 32, hkl 3 0 1
- 2θ 49.13, rel. 33, hkl 4 0 0
- 2θ 51.02, rel. 73, hkl 3 1 2
- 2θ 65.09, rel. 19, hkl 4 3 1
- 2θ 72.93, rel. 25, hkl 2 0 4
- 2θ 73.53, rel. 27, hkl 5 1 2

Structural model:
```
data_BeSn2W
_cell_length_a 7.4173
_cell_length_b 7.4173
_cell_length_c 5.5382
_cell_angle_alpha 90.00
_cell_angle_beta 90.00
_cell_angle_gamma 90.00
_space_group_name_H-M_alt 'I -4 2 d'
_space_group_IT_number 122
_space_group_name_Hall 'I -4 2bw'
loop_
_atom_site_label
_atom_site_type_symbol
_atom_site_fract_x
_atom_site_fract_y
_atom_site_fract_z
Be1 Be 0.0000 0.0000 0.0000
Sn1 Sn 0.2143 0.7500 0.1250
W1 W 0.0000 0.0000 0.5000
```



Entry 5:
Diffraction record for Re3O10. The X-ray diffraction stick pattern is computed, not measured: it uses DFT lattice parameters and positions (PBE) and Cu Kα.

Main lines, in order of rising 2θ (10° ≤ 2θ ≤ 80°):
- 2θ 11.62, rel. 40, hkl 0 0 1
- 2θ 17.29, rel. 66, hkl 1 1 0
- 2θ 18.29, rel. 60, hkl 1 1 -1
- 2θ 23.36, rel. 100, hkl 0 0 2
- 2θ 23.74, rel. 58, hkl 0 2 0
- 2θ 23.99, rel. 72, hkl 2 0 -1
- 2θ 26.50, rel. 60, hkl 0 2 1
- 2θ 32.59, rel. 31, hkl 1 1 2
- 2θ 33.55, rel. 30, hkl 0 2 2
- 2θ 34.00, rel. 38, hkl 2 2 -1

Structural model:
```
data_Re3O10
_cell_length_a 7.4808
_cell_length_b 7.4970
_cell_length_c 8.1023
_cell_angle_alpha 90.00
_cell_angle_beta 109.94
_cell_angle_gamma 90.00
_space_group_name_H-M_alt 'C 1 2 1'
_space_group_IT_number 5
loop_
_space_group_symop_operation_xyz
'x,y,z'
'-x,y,-z'
'x+1/2,y+1/2,z'
'-x+1/2,y+1/2,-z'
loop_
_atom_site_label
_atom_site_type_symbol
_atom_site_fract_x
_atom_site_fract_y
_atom_site_fract_z
Re1 Re 0.0000 0.0000 0.0000
Re2 Re 0.2364 0.8947 0.4638
O1 O 0.0000 0.3932 0.5000
O2 O 0.0000 0.8934 0.5000
O3 O 0.1479 0.9125 0.2175
O4 O 0.1496 0.1823 0.9462
O5 O 0.2258 0.0109 0.9188
O6 O 0.2478 0.6438 0.4937
```



Entry 6:
Diffraction record for Ca2Zn6Pt. The X-ray diffraction stick pattern is computed, not measured: it uses DFT lattice parameters and positions (PBE) and Cu Kα.

Main lines, in order of rising 2θ (10° ≤ 2θ ≤ 80°):
- 2θ 17.86, rel. 21, hkl 2 0 0
- 2θ 17.97, rel. 41, hkl 1 1 0
- 2θ 23.43, rel. 39, hkl 2 0 1
- 2θ 34.71, rel. 22, hkl 3 1 -1
- 2θ 34.96, rel. 45, hkl 3 1 1
- 2θ 35.40, rel. 31, hkl 1 1 2
- 2θ 39.48, rel. 100, hkl 2 2 -1
- 2θ 45.94, rel. 16, hkl 0 0 3
- 2θ 48.09, rel. 28, hkl 2 2 2
- 2θ 65.20, rel. 16, hkl 6 2 0

Structural model:
```
data_Ca2Zn6Pt
_cell_length_a 9.9357
_cell_length_b 5.6865
_cell_length_c 5.9267
_cell_angle_alpha 90.00
_cell_angle_beta 90.50
_cell_angle_gamma 90.00
_space_group_name_H-M_alt 'C 1 2/m 1'
_space_group_IT_number 12
loop_
_space_group_symop_operation_xyz
'x,y,z'
'-x,-y,-z'
'-x,y,-z'
'x,-y,z'
'x+1/2,y+1/2,z'
'-x+1/2,-y+1/2,-z'
'-x+1/2,y+1/2,-z'
'x+1/2,-y+1/2,z'
loop_
_atom_site_label
_atom_site_type_symbol
_atom_site_fract_x
_atom_site_fract_y
_atom_site_fract_z
Ca1 Ca 0.1665 0.0000 0.1417
Zn1 Zn 0.0876 0.2364 0.6661
Zn2 Zn 0.1774 0.5000 0.3361
Pt1 Pt 0.0000 0.5000 0.0000
```